The following is a theoretical powder X-ray diffraction pattern of La2CePuN4. It was derived from a GGA-PBE-relaxed structure, using copper Kα.

Most intense lines, 2θ = 10–90°, in order of falling intensity:
two_theta  I (rel.)  (hkl)
30.28  100.0  2 0 0
35.09  63.5  1 1 1
30.06  34.3  0 0 2
50.53  33.4  0 2 0
34.94  32.2  2 0 -2
59.98  25.8  3 1 1
50.20  22.4  1 1 -3
59.77  21.0  1 1 3
62.97  17.0  2 2 -2
50.35  11.1  2 0 2

Structural model:
```
La2CePuN4
1.0
6.263 0.000 0.000
0.000 3.609 0.000
-2.115 0.000 5.945
La Ce Pu N
2 1 1 4
Direct
0.000 0.000 0.000 La
0.500 0.500 0.000 La
0.000 0.500 0.500 Ce
0.500 0.000 0.500 Pu
0.244 0.000 0.725 N
0.269 0.500 0.282 N
0.731 0.500 0.718 N
0.756 0.000 0.275 N
```